The following is a computed XRD peak list of K2LiPt. It was derived from a cell relaxed with GGA-PBE, using a wavelength of 1.5418 Å.

Cell and atoms:
```
8
Lattice="7.6253 0.0000 0.0000 0.0000 4.3966 0.0000 -2.3249 0.0000 8.6882" Properties=species:S:1:pos:R:3 pbc="T T T"
K 0.0000 0.0000 0.0000
K -0.0008 0.0000 4.4815
K 3.8126 2.1983 0.0000
K 3.8119 2.1983 4.4815
Li 2.5432 0.0000 2.2425
Li 6.3558 2.1983 2.2425
Pt 1.2710 2.1983 2.2432
Pt 5.0837 0.0000 2.2432
```

The 8 most intense peaks (10 to 90 degrees two-theta), sorted by position:
10.2 deg, I 1000; 23.6 deg, I 218; 24.4 deg, I 224; 27.0 deg, I 272; 28.7 deg, I 140; 29.2 deg, I 274; 33.4 deg, I 182; 41.0 deg, I 221


The following is a computed XRD peak list of K2LiSn4Pt3. It was derived from a cell relaxed with GGA-PBE, using a wavelength of 1.5418 Å.

Cell and atoms:
```
10
Lattice="4.7945 0.0000 0.0000 0.0000 4.7945 0.0000 0.0000 0.0000 10.6395" Properties=species:S:1:pos:R:3 pbc="T T T"
K 0.0000 2.3972 2.6020
K 2.3972 0.0000 8.0374
Li 2.3972 2.3972 0.0000
Sn 0.0000 0.0000 5.3197
Sn 0.0000 2.3972 9.3174
Sn 2.3972 0.0000 1.3221
Sn 2.3972 2.3972 5.3197
Pt 0.0000 0.0000 0.0000
Pt 0.0000 2.3972 6.6479
Pt 2.3972 0.0000 3.9916
```

The 8 most intense peaks (10 to 90 degrees two-theta), sorted by position:
16.7 deg, I 248; 20.3 deg, I 797; 31.3 deg, I 1000; 37.5 deg, I 700; 43.2 deg, I 705; 49.7 deg, I 296; 54.1 deg, I 246; 71.6 deg, I 333


The following is a computed XRD peak list of K17Rb11Li. It was derived from a cell relaxed with GGA-PBE, using a wavelength of 1.5418 Å.

Cell and atoms:
```
29
Lattice="8.3020 -11.9396 0.0000 8.3020 11.9396 0.0000 -7.6482 0.0000 11.4332" Properties=species:S:1:pos:R:3 pbc="T T T"
K 0.0000 0.0000 0.0000
K 2.0960 3.6502 6.6227
K -0.8011 0.0000 7.9812
K 5.7743 4.6308 3.7465
K 2.8264 0.0000 4.1858
K 6.0349 7.0725 7.6260
K 1.1505 3.0613 11.0279
K 2.0960 -3.6502 6.6227
K 7.5419 0.0000 3.2816
K 13.1483 4.7124 0.0877
K 1.1505 -3.0613 11.0279
K 10.3091 3.5807 4.3959
K 5.7743 -4.6308 3.7465
K 10.3091 -3.5807 4.3959
K 11.1834 0.0000 7.2014
K 6.0349 -7.0725 7.6260
K 13.1483 -4.7124 0.0877
Rb 6.3023 9.6943 4.0225
Rb 1.6303 7.4856 8.9779
Rb -3.2364 2.2349 11.4255
Rb 9.4527 7.2408 2.1051
Rb -3.2364 -2.2349 11.4255
Rb 6.2529 2.1768 7.6535
Rb 11.9087 0.0000 0.7333
Rb 1.6303 -7.4856 8.9779
Rb 6.2529 -2.1768 7.6535
Rb 6.3023 -9.6943 4.0225
Rb 9.4527 -7.2408 2.1051
Li 2.8683 0.0000 8.3700
```

The 8 most intense peaks (10 to 90 degrees two-theta), sorted by position:
21.5 deg, I 258; 22.4 deg, I 360; 22.5 deg, I 570; 22.8 deg, I 1000; 23.3 deg, I 667; 24.8 deg, I 637; 25.1 deg, I 514; 37.7 deg, I 290


The following is a computed XRD peak list of KRbLi. It was derived from a cell relaxed with GGA-PBE, using a wavelength of 1.5418 Å.

Cell and atoms:
```
3
Lattice="6.6893 0.0000 0.0000 -3.3446 5.7931 0.0000 0.0000 0.0000 4.5252" Properties=species:S:1:pos:R:3 pbc="T T T"
K 0.0000 0.0000 0.0000
Rb 3.3446 1.9310 2.7553
Li 0.0000 3.8621 1.1800
```

The 8 most intense peaks (10 to 90 degrees two-theta), sorted by position:
15.3 deg, I 627; 25.0 deg, I 1000; 26.7 deg, I 611; 36.8 deg, I 347; 42.9 deg, I 161; 46.1 deg, I 357; 58.7 deg, I 124; 61.2 deg, I 148


The following is a computed XRD peak list of K5Rb4Li. It was derived from a cell relaxed with GGA-PBE, using a wavelength of 1.5418 Å.

Cell and atoms:
```
10
Lattice="-7.0193 7.0193 3.8485 7.0193 -7.0193 3.8485 7.0193 7.0193 -3.8485" Properties=species:S:1:pos:R:3 pbc="T T T"
K 0.0000 0.0000 0.0000
K 4.5735 4.5735 1.1377
K 2.4458 -2.4458 4.9862
K -2.4458 2.4458 4.9862
K 2.4458 2.4458 4.9862
Rb 4.4208 0.0000 1.3798
Rb 9.6177 0.0000 1.3798
Rb 0.0000 4.4208 1.3798
Rb 0.0000 9.6177 1.3798
Li 0.0000 0.0000 3.5746
```

The 8 most intense peaks (10 to 90 degrees two-theta), sorted by position:
18.2 deg, I 207; 22.2 deg, I 1000; 23.1 deg, I 194; 26.9 deg, I 328; 35.8 deg, I 218; 38.5 deg, I 111; 40.1 deg, I 149; 44.9 deg, I 236


The following is a computed XRD peak list of KRb2LiSe2. It was derived from a cell relaxed with GGA-PBE, using a wavelength of 1.5418 Å.

Cell and atoms:
```
12
Lattice="-3.9045 7.4853 3.4542 3.9045 -7.4853 3.4542 3.9045 7.4853 -3.4542" Properties=species:S:1:pos:R:3 pbc="T T T"
K 0.0000 0.0000 1.7271
K 0.0000 0.0000 5.1813
Rb 5.4672 2.6162 0.0000
Rb 1.5627 4.8691 0.0000
Rb 2.3419 2.6162 3.4542
Rb -1.5627 4.8691 3.4542
Li 3.9045 0.0000 1.7271
Li 0.0000 7.4853 1.7271
Se 2.3091 1.4594 0.0000
Se 2.3091 -1.4594 3.4542
Se 1.5955 8.9447 0.0000
Se 1.5955 6.0259 3.4542
```

The 8 most intense peaks (10 to 90 degrees two-theta), sorted by position:
22.8 deg, I 383; 25.8 deg, I 523; 29.5 deg, I 1000; 33.2 deg, I 210; 34.7 deg, I 510; 35.4 deg, I 235; 47.8 deg, I 253; 52.0 deg, I 273


The following is a computed XRD peak list of KLiS5. It was derived from a cell relaxed with GGA-PBE, using a wavelength of 1.5418 Å.

Cell and atoms:
```
14
Lattice="5.4026 0.0000 0.0000 0.5612 6.5754 0.0000 2.5019 1.7167 9.9333" Properties=species:S:1:pos:R:3 pbc="T T T"
K 2.0084 3.2188 1.9885
K 6.4573 5.0733 7.9449
Li 1.2509 0.8583 4.9667
Li 2.7013 0.0000 0.0000
S 3.2361 3.1335 9.3239
S 3.6882 6.9532 9.0918
S 2.5884 6.4171 2.7866
S 3.8159 6.0980 5.7996
S 4.1750 2.2416 6.0651
S 4.2907 6.0505 3.8682
S 4.6498 2.1940 4.1337
S 5.8774 1.8749 7.1467
S 4.7775 1.3388 0.8415
S 5.2296 5.1585 0.6095
```

The 8 most intense peaks (10 to 90 degrees two-theta), sorted by position:
20.9 deg, I 1000; 23.4 deg, I 373; 28.4 deg, I 602; 30.3 deg, I 421; 30.6 deg, I 659; 34.6 deg, I 434; 34.9 deg, I 474; 35.3 deg, I 704


The following is a computed XRD peak list of KLi2Ti3S8. It was derived from a cell relaxed with GGA-PBE, using a wavelength of 1.5418 Å.

Cell and atoms:
```
14
Lattice="3.4903 2.0151 8.1166 -3.4903 2.0151 8.1166 0.0000 -4.0302 8.1166" Properties=species:S:1:pos:R:3 pbc="T T T"
K 0.0000 0.0000 0.0000
Li 0.0000 0.0000 3.6919
Li 0.0000 0.0000 14.4468
Ti -1.7322 -1.0001 11.7890
Ti 1.7322 -1.0001 11.7890
Ti 0.0000 2.0001 11.7890
S 0.0000 -1.9767 13.2066
S -1.7119 0.9884 13.2066
S 0.0000 0.0000 10.3745
S -1.6383 -0.9459 18.5090
S 1.7119 0.9883 13.2066
S 0.0000 0.0000 21.3065
S 1.6383 -0.9459 18.5090
S 0.0000 1.8917 18.5090
```

The 8 most intense peaks (10 to 90 degrees two-theta), sorted by position:
10.9 deg, I 1000; 16.4 deg, I 93; 20.7 deg, I 86; 33.1 deg, I 389; 39.5 deg, I 364; 42.1 deg, I 88; 51.1 deg, I 131; 52.4 deg, I 164


The following is a computed XRD peak list of K2LiVS4. It was derived from a cell relaxed with GGA-PBE, using a wavelength of 1.5418 Å.

Cell and atoms:
```
32
Lattice="5.3608 -4.2597 0.0000 5.3608 4.2597 0.0000 -1.3993 0.0000 18.0906" Properties=species:S:1:pos:R:3 pbc="T T T"
K 0.0000 0.0000 0.0000
K -0.6996 0.0000 9.0453
K 4.3113 2.7309 13.5680
K 3.8380 0.1819 1.2983
K 3.1384 -0.1819 10.3436
K 6.1839 0.1819 7.7470
K 5.4842 -0.1819 16.7924
K 5.0110 -2.7309 4.5227
Li 3.3986 2.1644 5.1424
Li 6.6233 2.1644 3.9029
Li 2.6990 -2.1644 14.1877
Li 5.9237 -2.1644 12.9483
V 1.5049 0.5005 15.4538
V 2.2045 -0.5005 6.4085
V 7.1178 0.5005 11.6822
V 7.8174 -0.5005 2.6369
S 4.4671 2.9432 2.7806
S 2.1805 1.4058 7.3923
S 2.7959 1.8445 16.5303
S 5.5548 2.9432 6.2647
S 2.2082 0.2068 13.4300
S 2.9079 -0.2068 4.3847
S 5.8267 1.8445 10.6057
S 1.4808 -1.4058 16.4376
S 7.8414 1.4058 1.6530
S 3.4956 -1.8445 7.4850
S 6.4144 0.2068 13.7060
S 7.1140 -0.2068 4.6607
S 3.7675 -2.9432 11.8259
S 6.5263 -1.8445 1.5603
S 7.1418 -1.4058 10.6983
S 4.8552 -2.9432 15.3100
```

The 8 most intense peaks (10 to 90 degrees two-theta), sorted by position:
16.1 deg, I 663; 16.9 deg, I 450; 27.1 deg, I 997; 29.0 deg, I 1000; 32.0 deg, I 904; 32.5 deg, I 462; 33.9 deg, I 464; 45.6 deg, I 411


The following is a computed XRD peak list of K2LiSb2. It was derived from a cell relaxed with GGA-PBE, using a wavelength of 1.5418 Å.

Cell and atoms:
```
10
Lattice="5.4732 -3.4765 0.0000 5.4732 3.4765 0.0000 -1.3817 0.0000 9.2067" Properties=species:S:1:pos:R:3 pbc="T T T"
K 1.4678 0.9454 1.4294
K 0.7770 -0.9454 6.0328
K 8.7876 0.9454 3.1739
K 8.0967 -0.9454 7.7772
Li 5.1277 0.3946 2.3017
Li 4.4369 -0.3946 6.9050
Sb 3.3142 1.0257 4.5355
Sb 6.9413 1.0257 0.0678
Sb 2.6233 -1.0257 9.1389
Sb 6.2504 -1.0257 4.6711
```

The 8 most intense peaks (10 to 90 degrees two-theta), sorted by position:
17.3 deg, I 943; 19.3 deg, I 800; 25.6 deg, I 406; 31.3 deg, I 1000; 31.8 deg, I 622; 32.9 deg, I 639; 33.1 deg, I 419; 34.1 deg, I 374


The following is a computed XRD peak list of KLiSb. It was derived from a cell relaxed with GGA-PBE, using a wavelength of 1.5418 Å.

Cell and atoms:
```
12
Lattice="4.9798 0.0000 0.0000 0.0000 4.9798 0.0000 0.0000 0.0000 15.6305" Properties=species:S:1:pos:R:3 pbc="T T T"
K 0.0000 0.0000 2.6966
K 0.0000 0.0000 12.9339
K 2.4899 2.4899 5.1187
K 2.4899 2.4899 10.5118
Li 0.0000 2.4899 0.0000
Li 0.0000 2.4899 7.8152
Li 2.4899 0.0000 0.0000
Li 2.4899 0.0000 7.8152
Sb 0.0000 0.0000 6.3183
Sb 0.0000 0.0000 9.3122
Sb 2.4899 2.4899 1.4969
Sb 2.4899 2.4899 14.1336
```

The 8 most intense peaks (10 to 90 degrees two-theta), sorted by position:
18.7 deg, I 1000; 22.8 deg, I 246; 25.3 deg, I 943; 33.9 deg, I 760; 34.3 deg, I 414; 36.1 deg, I 413; 40.9 deg, I 276; 50.3 deg, I 477


The following is a computed XRD peak list of KLiSbTe2. It was derived from a cell relaxed with GGA-PBE, using a wavelength of 1.5418 Å.

Cell and atoms:
```
5
Lattice="4.2917 0.0000 0.0000 0.0000 4.4788 0.0000 0.0000 0.0000 8.3722" Properties=species:S:1:pos:R:3 pbc="T T T"
K 0.0000 0.0000 0.0000
Li 0.0000 2.2394 4.1861
Sb 2.1459 0.0000 4.1861
Te 2.1459 2.2394 2.0879
Te 2.1459 2.2394 6.2843
```

The 8 most intense peaks (10 to 90 degrees two-theta), sorted by position:
10.6 deg, I 222; 20.7 deg, I 740; 23.3 deg, I 266; 29.2 deg, I 1000; 30.8 deg, I 302; 36.1 deg, I 769; 40.3 deg, I 217; 52.1 deg, I 385


The following is a computed XRD peak list of KLi2Zn2Sb2. It was derived from a cell relaxed with GGA-PBE, using a wavelength of 1.5418 Å.

Cell and atoms:
```
7
Lattice="2.2642 1.3072 9.4484 -2.2642 1.3072 9.4484 0.0000 -2.6144 9.4484" Properties=species:S:1:pos:R:3 pbc="T T T"
K 0.0000 0.0000 0.0000
Li 0.0000 0.0000 4.0673
Li 0.0000 0.0000 24.2780
Zn 0.0000 0.0000 12.8286
Zn 0.0000 0.0000 15.5167
Sb 0.0000 0.0000 6.9389
Sb 0.0000 0.0000 21.4064
```

The 8 most intense peaks (10 to 90 degrees two-theta), sorted by position:
18.8 deg, I 329; 26.0 deg, I 1000; 39.2 deg, I 363; 39.8 deg, I 570; 44.4 deg, I 218; 48.2 deg, I 180; 49.6 deg, I 172; 57.1 deg, I 184